Record 1
# TaCo4Si
Calculated X-ray powder pattern, Cu Kα X-rays. Input: DFT lattice parameters and positions (GGA-PBE).

The 6 most intense peaks (10 to 90 degrees two-theta), low angle first:
Position (°2θ), I_rel
11.9, 86
32.5, 67
37.9, 56
42.7, 99
45.4, 77
45.8, 100

Structural model:
```
data_TaCo4Si
_cell_length_a 4.746
_cell_length_b 4.746
_cell_length_c 7.414
_cell_angle_alpha 90.00
_cell_angle_beta 90.00
_cell_angle_gamma 120.00
_space_group_name_H-M_alt 'P 1'
_space_group_IT_number 1
_space_group_name_Hall 'P 1'
loop_
_atom_site_label
_atom_site_type_symbol
_atom_site_fract_x
_atom_site_fract_y
_atom_site_fract_z
Ta1 Ta 0.333 0.667 0.410
Ta2 Ta 0.667 0.333 0.590
Co1 Co 0.000 0.000 0.000
Co2 Co 0.000 0.000 0.500
Co3 Co 0.170 0.340 0.756
Co4 Co 0.170 0.830 0.756
Co5 Co 0.340 0.170 0.244
Co6 Co 0.660 0.830 0.756
Co7 Co 0.830 0.170 0.244
Co8 Co 0.830 0.660 0.244
Si1 Si 0.333 0.667 0.049
Si2 Si 0.667 0.333 0.951
```

Record 2
# MgFe4Sb4S4
Calculated X-ray powder pattern, Cu Kα X-rays. Input: DFT lattice parameters and positions (GGA-PBE).

The 6 most intense peaks (10 to 90 degrees two-theta), low angle first:
Position (°2θ), I_rel
33.1, 94
33.4, 51
33.7, 43
33.9, 100
34.8, 72
45.2, 65

Structural model:
```
data_MgFe4Sb4S4
_cell_length_a 6.052
_cell_length_b 6.311
_cell_length_c 6.482
_cell_angle_alpha 67.14
_cell_angle_beta 87.59
_cell_angle_gamma 87.89
_space_group_name_H-M_alt 'P 1'
_space_group_IT_number 1
_space_group_name_Hall 'P 1'
loop_
_atom_site_label
_atom_site_type_symbol
_atom_site_fract_x
_atom_site_fract_y
_atom_site_fract_z
Mg1 Mg 0.000 0.000 0.000
Fe1 Fe 0.469 0.223 0.790
Fe2 Fe 0.503 0.796 0.202
Fe3 Fe 0.974 0.308 0.190
Fe4 Fe 0.989 0.706 0.800
Sb1 Sb 0.168 0.886 0.412
Sb2 Sb 0.339 0.382 0.350
Sb3 Sb 0.633 0.635 0.638
Sb4 Sb 0.811 0.137 0.589
S1 S 0.145 0.374 0.849
S2 S 0.360 0.847 0.871
S3 S 0.619 0.171 0.120
S4 S 0.821 0.643 0.138
```

Record 3
# Tb6Ga19Pt3
Calculated X-ray powder pattern, Cu Kα X-rays. Input: DFT lattice parameters and positions (GGA-PBE).

The 6 most intense peaks (10 to 90 degrees two-theta), low angle first:
Position (°2θ), I_rel
33.9, 15
34.3, 21
35.2, 100
42.6, 27
44.1, 18
63.0, 14

Structural model:
```
data_Tb6Ga19Pt3
_cell_length_a 8.267
_cell_length_b 8.267
_cell_length_c 15.937
_cell_angle_alpha 100.58
_cell_angle_beta 100.58
_cell_angle_gamma 29.73
_space_group_name_H-M_alt 'P 1'
_space_group_IT_number 1
_space_group_name_Hall 'P 1'
loop_
_atom_site_label
_atom_site_type_symbol
_atom_site_fract_x
_atom_site_fract_y
_atom_site_fract_z
Tb1 Tb 0.000 0.000 0.000
Tb2 Tb 0.157 0.157 0.835
Tb3 Tb 0.339 0.339 0.659
Tb4 Tb 0.501 0.501 0.499
Tb5 Tb 0.662 0.662 0.339
Tb6 Tb 0.836 0.836 0.158
Ga1 Ga 0.021 0.021 0.359
Ga2 Ga 0.065 0.065 0.208
Ga3 Ga 0.147 0.147 0.478
Ga4 Ga 0.206 0.206 0.063
Ga5 Ga 0.257 0.257 0.256
Ga6 Ga 0.298 0.298 0.430
Ga7 Ga 0.354 0.354 0.016
Ga8 Ga 0.432 0.432 0.296
Ga9 Ga 0.474 0.474 0.142
Ga10 Ga 0.517 0.517 0.849
Ga11 Ga 0.573 0.573 0.701
Ga12 Ga 0.639 0.639 0.139
Ga13 Ga 0.641 0.641 0.974
Ga14 Ga 0.706 0.706 0.572
Ga15 Ga 0.748 0.748 0.747
Ga16 Ga 0.792 0.792 0.921
Ga17 Ga 0.857 0.857 0.519
Ga18 Ga 0.923 0.923 0.792
Ga19 Ga 0.980 0.980 0.644
Pt1 Pt 0.140 0.140 0.638
Pt2 Pt 0.358 0.358 0.858
Pt3 Pt 0.859 0.859 0.356
```

Number 2 is which compound?
MgFe4Sb4S4

Please write out number 1 again, unchanged.
# TaCo4Si
Calculated X-ray powder pattern, Cu Kα X-rays. Input: DFT lattice parameters and positions (GGA-PBE).

The 6 most intense peaks (10 to 90 degrees two-theta), low angle first:
Position (°2θ), I_rel
11.9, 86
32.5, 67
37.9, 56
42.7, 99
45.4, 77
45.8, 100

Structural model:
```
data_TaCo4Si
_cell_length_a 4.746
_cell_length_b 4.746
_cell_length_c 7.414
_cell_angle_alpha 90.00
_cell_angle_beta 90.00
_cell_angle_gamma 120.00
_space_group_name_H-M_alt 'P 1'
_space_group_IT_number 1
_space_group_name_Hall 'P 1'
loop_
_atom_site_label
_atom_site_type_symbol
_atom_site_fract_x
_atom_site_fract_y
_atom_site_fract_z
Ta1 Ta 0.333 0.667 0.410
Ta2 Ta 0.667 0.333 0.590
Co1 Co 0.000 0.000 0.000
Co2 Co 0.000 0.000 0.500
Co3 Co 0.170 0.340 0.756
Co4 Co 0.170 0.830 0.756
Co5 Co 0.340 0.170 0.244
Co6 Co 0.660 0.830 0.756
Co7 Co 0.830 0.170 0.244
Co8 Co 0.830 0.660 0.244
Si1 Si 0.333 0.667 0.049
Si2 Si 0.667 0.333 0.951
```

Copy entry 2 word for word.
# MgFe4Sb4S4
Calculated X-ray powder pattern, Cu Kα X-rays. Input: DFT lattice parameters and positions (GGA-PBE).

The 6 most intense peaks (10 to 90 degrees two-theta), low angle first:
Position (°2θ), I_rel
33.1, 94
33.4, 51
33.7, 43
33.9, 100
34.8, 72
45.2, 65

Structural model:
```
data_MgFe4Sb4S4
_cell_length_a 6.052
_cell_length_b 6.311
_cell_length_c 6.482
_cell_angle_alpha 67.14
_cell_angle_beta 87.59
_cell_angle_gamma 87.89
_space_group_name_H-M_alt 'P 1'
_space_group_IT_number 1
_space_group_name_Hall 'P 1'
loop_
_atom_site_label
_atom_site_type_symbol
_atom_site_fract_x
_atom_site_fract_y
_atom_site_fract_z
Mg1 Mg 0.000 0.000 0.000
Fe1 Fe 0.469 0.223 0.790
Fe2 Fe 0.503 0.796 0.202
Fe3 Fe 0.974 0.308 0.190
Fe4 Fe 0.989 0.706 0.800
Sb1 Sb 0.168 0.886 0.412
Sb2 Sb 0.339 0.382 0.350
Sb3 Sb 0.633 0.635 0.638
Sb4 Sb 0.811 0.137 0.589
S1 S 0.145 0.374 0.849
S2 S 0.360 0.847 0.871
S3 S 0.619 0.171 0.120
S4 S 0.821 0.643 0.138
```